(1)
Diffraction record for La7Tm3Mg. The powder X-ray diffraction pattern is computed, not measured: it uses a DFT-relaxed cell (PBE, Alexandria) and Cu Kα.
Neutral-atom scattering factors, no anomalous dispersion.

Crystal structure
```
data_La7Tm3Mg
_cell_length_a 11.548
_cell_length_b 10.440
_cell_length_c 6.543
_cell_angle_alpha 90.00
_cell_angle_beta 92.46
_cell_angle_gamma 90.00
_symmetry_space_group_name_H-M 'C 1 2/m 1'
_symmetry_Int_Tables_number 12
_symmetry_space_group_name_Hall '-C 2y'
loop_
_atom_site_label
_atom_site_type_symbol
_atom_site_fract_x
_atom_site_fract_y
_atom_site_fract_z
_atom_site_occupancy
La1 La 0.000 0.000 0.000 1
La2 La 0.237 0.174 0.263 1
La3 La 0.241 0.500 0.207 1
Tm1 Tm 0.000 0.340 0.000 1
Tm2 Tm 0.000 0.500 0.500 1
Mg1 Mg 0.000 0.000 0.500 1
```

The 10 most intense peaks (2θ = 5–70°), low angle first:
| 2θ/deg | I_rel |
| --- | --- |
| 13.5 | 16 |
| 30.3 | 100 |
| 30.9 | 49 |
| 31.0 | 49 |
| 32.0 | 44 |
| 37.1 | 58 |
| 49.7 | 22 |
| 49.9 | 23 |
| 56.0 | 15 |
| 62.3 | 30 |

(2)
Diffraction record for Nb3SI7. The powder X-ray diffraction pattern is computed, not measured: it uses a DFT-relaxed cell (PBE, Alexandria) and Cu Kα.
Neutral-atom scattering factors, no anomalous dispersion.

Crystal structure
```
data_Nb3SI7
_cell_length_a 16.504
_cell_length_b 12.739
_cell_length_c 8.065
_cell_angle_alpha 90.00
_cell_angle_beta 98.97
_cell_angle_gamma 90.00
_symmetry_space_group_name_H-M 'P 1 21/c 1'
_symmetry_Int_Tables_number 14
_symmetry_space_group_name_Hall '-P 2ybc'
loop_
_atom_site_label
_atom_site_type_symbol
_atom_site_fract_x
_atom_site_fract_y
_atom_site_fract_z
_atom_site_occupancy
Nb1 Nb 0.134 0.000 0.082 1
Nb2 Nb 0.282 0.110 0.141 1
Nb3 Nb 0.282 0.610 0.645 1
S1 S 0.238 0.502 0.398 1
I1 I 0.021 0.501 0.271 1
I2 I 0.133 0.224 0.095 1
I3 I 0.133 0.724 0.603 1
I4 I 0.225 0.002 0.412 1
I5 I 0.358 0.231 0.898 1
I6 I 0.359 0.736 0.411 1
I7 I 0.433 0.001 0.224 1
```

The 10 most intense peaks (2θ = 5–70°), low angle first:
| 2θ/deg | I_rel |
| --- | --- |
| 10.9 | 43 |
| 13.1 | 44 |
| 13.5 | 78 |
| 14.9 | 44 |
| 26.0 | 91 |
| 26.4 | 68 |
| 27.2 | 100 |
| 28.0 | 56 |
| 38.9 | 51 |
| 42.4 | 44 |

(3)
Diffraction record for LaTm4Te5. The powder X-ray diffraction pattern is computed, not measured: it uses a DFT-relaxed cell (PBE, Alexandria) and Cu Kα.
Neutral-atom scattering factors, no anomalous dispersion.

Crystal structure
```
data_LaTm4Te5
_cell_length_a 4.324
_cell_length_b 6.171
_cell_length_c 21.983
_cell_angle_alpha 90.00
_cell_angle_beta 90.00
_cell_angle_gamma 90.00
_symmetry_space_group_name_H-M 'I m m m'
_symmetry_Int_Tables_number 71
_symmetry_space_group_name_Hall '-I 2 2'
loop_
_atom_site_label
_atom_site_type_symbol
_atom_site_fract_x
_atom_site_fract_y
_atom_site_fract_z
_atom_site_occupancy
La1 La 0.000 0.000 0.000 1
Tm1 Tm 0.000 0.000 0.206 1
Tm2 Tm 0.000 0.000 0.403 1
Te1 Te 0.000 0.500 0.000 1
Te2 Te 0.000 0.500 0.196 1
Te3 Te 0.000 0.500 0.391 1
```

The 10 most intense peaks (2θ = 5–70°), low angle first:
| 2θ/deg | I_rel |
| --- | --- |
| 29.0 | 100 |
| 41.1 | 12 |
| 41.4 | 50 |
| 41.8 | 13 |
| 51.0 | 13 |
| 51.6 | 14 |
| 60.0 | 12 |
| 67.5 | 5 |
| 68.0 | 22 |
| 68.5 | 6 |

(4)
Diffraction record for BaPuIr4. The powder X-ray diffraction pattern is computed, not measured: it uses a DFT-relaxed cell (PBE, Alexandria) and Cu Kα.
Neutral-atom scattering factors, no anomalous dispersion.

Crystal structure
```
data_BaPuIr4
_cell_length_a 7.752
_cell_length_b 7.752
_cell_length_c 7.752
_cell_angle_alpha 90.00
_cell_angle_beta 90.00
_cell_angle_gamma 90.00
_symmetry_space_group_name_H-M 'F -4 3 m'
_symmetry_Int_Tables_number 216
_symmetry_space_group_name_Hall 'F -4 2 3'
loop_
_atom_site_label
_atom_site_type_symbol
_atom_site_fract_x
_atom_site_fract_y
_atom_site_fract_z
_atom_site_occupancy
Ba1 Ba 0.000 0.000 0.000 1
Pu1 Pu 0.250 0.250 0.250 1
Ir1 Ir 0.124 0.124 0.624 1
```

The 10 most intense peaks (2θ = 5–70°), low angle first:
| 2θ/deg | I_rel |
| --- | --- |
| 19.8 | 9 |
| 22.9 | 2 |
| 32.7 | 25 |
| 38.5 | 100 |
| 40.3 | 42 |
| 46.9 | 5 |
| 51.4 | 2 |
| 58.3 | 10 |
| 62.2 | 33 |
| 68.5 | 29 |

(5)
Diffraction record for Pr5CdGe2. The powder X-ray diffraction pattern is computed, not measured: it uses a DFT-relaxed cell (PBE, Alexandria) and Cu Kα.
Neutral-atom scattering factors, no anomalous dispersion.

Crystal structure
```
data_Pr5CdGe2
_cell_length_a 7.997
_cell_length_b 7.997
_cell_length_c 14.948
_cell_angle_alpha 90.00
_cell_angle_beta 90.00
_cell_angle_gamma 90.00
_symmetry_space_group_name_H-M 'I 4/m c m'
_symmetry_Int_Tables_number 140
_symmetry_space_group_name_Hall '-I 4 2c'
loop_
_atom_site_label
_atom_site_type_symbol
_atom_site_fract_x
_atom_site_fract_y
_atom_site_fract_z
_atom_site_occupancy
Pr1 Pr 0.000 0.000 0.000 1
Pr2 Pr 0.171 0.329 0.140 1
Cd1 Cd 0.000 0.000 0.250 1
Ge1 Ge 0.127 0.373 0.500 1
```

The 10 most intense peaks (2θ = 5–70°), low angle first:
| 2θ/deg | I_rel |
| --- | --- |
| 25.6 | 18 |
| 28.6 | 25 |
| 30.8 | 100 |
| 31.6 | 19 |
| 32.8 | 54 |
| 35.5 | 55 |
| 39.3 | 13 |
| 50.5 | 18 |
| 54.5 | 21 |
| 61.7 | 20 |

(6)
Diffraction record for NdYHo. The powder X-ray diffraction pattern is computed, not measured: it uses a DFT-relaxed cell (PBE, Alexandria) and Cu Kα.
Neutral-atom scattering factors, no anomalous dispersion.

Crystal structure
```
data_NdYHo
_cell_length_a 6.229
_cell_length_b 10.747
_cell_length_c 6.227
_cell_angle_alpha 90.00
_cell_angle_beta 109.49
_cell_angle_gamma 90.00
_symmetry_space_group_name_H-M 'C 1 2/c 1'
_symmetry_Int_Tables_number 15
_symmetry_space_group_name_Hall '-C 2yc'
loop_
_atom_site_label
_atom_site_type_symbol
_atom_site_fract_x
_atom_site_fract_y
_atom_site_fract_z
_atom_site_occupancy
Nd1 Nd 0.000 0.249 0.250 1
Y1 Y 0.000 0.417 0.750 1
Ho1 Ho 0.000 0.082 0.750 1
```

The 10 most intense peaks (2θ = 5–70°), low angle first:
| 2θ/deg | I_rel |
| --- | --- |
| 17.2 | 5 |
| 30.5 | 100 |
| 35.3 | 50 |
| 50.8 | 30 |
| 51.0 | 6 |
| 60.4 | 7 |
| 60.4 | 21 |
| 60.6 | 14 |
| 63.4 | 3 |
| 63.5 | 6 |

(7)
Diffraction record for Ac2HoNpS6. The powder X-ray diffraction pattern is computed, not measured: it uses a DFT-relaxed cell (PBE, Alexandria) and Cu Kα.
Neutral-atom scattering factors, no anomalous dispersion.

Crystal structure
```
data_Ac2HoNpS6
_cell_length_a 7.2933
_cell_length_b 7.2933
_cell_length_c 18.6873
_cell_angle_alpha 90.00
_cell_angle_beta 90.00
_cell_angle_gamma 120.00
_symmetry_space_group_name_H-M 'R 3'
_symmetry_Int_Tables_number 146
_symmetry_space_group_name_Hall 'R 3'
loop_
_atom_site_label
_atom_site_type_symbol
_atom_site_fract_x
_atom_site_fract_y
_atom_site_fract_z
_atom_site_occupancy
Ac1 Ac 0.0000 0.0000 0.0000 1
Ac2 Ac 0.0000 0.0000 0.4981 1
Ho1 Ho 0.0000 0.0000 0.7117 1
Np1 Np 0.0000 0.0000 0.2123 1
S1 S 0.0636 0.3513 0.7820 1
S2 S 0.0660 0.7068 0.2830 1
```

The 10 most intense peaks (2θ = 5–70°), low angle first:
| 2θ/deg | I_rel |
| --- | --- |
| 16.9 | 22 |
| 23.7 | 98 |
| 24.4 | 100 |
| 34.3 | 52 |
| 38.0 | 46 |
| 42.5 | 50 |
| 43.0 | 39 |
| 50.0 | 17 |
| 51.0 | 17 |
| 56.1 | 18 |

(8)
Diffraction record for Nd4NiI5. The powder X-ray diffraction pattern is computed, not measured: it uses a DFT-relaxed cell (PBE, Alexandria) and Cu Kα.
Neutral-atom scattering factors, no anomalous dispersion.

Crystal structure
```
data_Nd4NiI5
_cell_length_a 19.756
_cell_length_b 4.188
_cell_length_c 9.135
_cell_angle_alpha 90.00
_cell_angle_beta 102.87
_cell_angle_gamma 90.00
_symmetry_space_group_name_H-M 'C 1 2/m 1'
_symmetry_Int_Tables_number 12
_symmetry_space_group_name_Hall '-C 2y'
loop_
_atom_site_label
_atom_site_type_symbol
_atom_site_fract_x
_atom_site_fract_y
_atom_site_fract_z
_atom_site_occupancy
Nd1 Nd 0.000 0.000 0.204 1
Nd2 Nd 0.145 0.500 0.076 1
Ni1 Ni 0.000 0.500 0.000 1
I1 I 0.000 0.500 0.500 1
I2 I 0.167 0.000 0.348 1
I3 I 0.175 0.000 0.824 1
```

The 10 most intense peaks (2θ = 5–70°), low angle first:
| 2θ/deg | I_rel |
| --- | --- |
| 9.9 | 24 |
| 26.1 | 13 |
| 27.8 | 51 |
| 28.9 | 100 |
| 31.5 | 16 |
| 39.5 | 17 |
| 40.4 | 35 |
| 40.7 | 32 |
| 43.2 | 18 |
| 52.2 | 18 |

(9)
Diffraction record for Na3Pa3GaN8. The powder X-ray diffraction pattern is computed, not measured: it uses a DFT-relaxed cell (PBE, Alexandria) and Cu Kα.
Neutral-atom scattering factors, no anomalous dispersion.

Crystal structure
```
data_Na3Pa3GaN8
_cell_length_a 12.415
_cell_length_b 6.669
_cell_length_c 6.906
_cell_angle_alpha 90.00
_cell_angle_beta 123.50
_cell_angle_gamma 90.00
_symmetry_space_group_name_H-M 'C 1 2/m 1'
_symmetry_Int_Tables_number 12
_symmetry_space_group_name_Hall '-C 2y'
loop_
_atom_site_label
_atom_site_type_symbol
_atom_site_fract_x
_atom_site_fract_y
_atom_site_fract_z
_atom_site_occupancy
Na1 Na 0.000 0.000 0.000 1
Na2 Na 0.250 0.250 0.000 1
Pa1 Pa 0.000 0.500 0.500 1
Pa2 Pa 0.250 0.250 0.500 1
Ga1 Ga 0.000 0.000 0.500 1
N1 N 0.017 0.235 0.322 1
N2 N 0.229 0.500 0.693 1
N3 N 0.248 0.500 0.298 1
```

The 10 most intense peaks (2θ = 5–70°), low angle first:
| 2θ/deg | I_rel |
| --- | --- |
| 15.4 | 100 |
| 29.0 | 20 |
| 31.0 | 51 |
| 31.2 | 18 |
| 31.9 | 34 |
| 34.7 | 23 |
| 37.5 | 35 |
| 39.8 | 15 |
| 51.9 | 13 |
| 52.1 | 14 |

(10)
Diffraction record for Pa3Pd. The powder X-ray diffraction pattern is computed, not measured: it uses a DFT-relaxed cell (PBE, Alexandria) and Cu Kα.
Neutral-atom scattering factors, no anomalous dispersion.

Crystal structure
```
data_Pa3Pd
_cell_length_a 6.494
_cell_length_b 3.303
_cell_length_c 8.890
_cell_angle_alpha 90.00
_cell_angle_beta 99.14
_cell_angle_gamma 90.00
_symmetry_space_group_name_H-M 'P 1 21/m 1'
_symmetry_Int_Tables_number 11
_symmetry_space_group_name_Hall '-P 2yb'
loop_
_atom_site_label
_atom_site_type_symbol
_atom_site_fract_x
_atom_site_fract_y
_atom_site_fract_z
_atom_site_occupancy
Pa1 Pa 0.045 0.250 0.334 1
Pa2 Pa 0.202 0.250 0.934 1
Pa3 Pa 0.361 0.750 0.605 1
Pd1 Pd 0.352 0.750 0.190 1
```

The 10 most intense peaks (2θ = 5–70°), low angle first:
| 2θ/deg | I_rel |
| --- | --- |
| 31.8 | 66 |
| 32.9 | 41 |
| 34.0 | 100 |
| 35.7 | 41 |
| 39.2 | 53 |
| 39.3 | 17 |
| 42.0 | 20 |
| 54.4 | 23 |
| 55.7 | 18 |
| 65.6 | 22 |

(11)
Diffraction record for Pm3Sm2Mg2. The powder X-ray diffraction pattern is computed, not measured: it uses a DFT-relaxed cell (PBE, Alexandria) and Cu Kα.
Neutral-atom scattering factors, no anomalous dispersion.

Crystal structure
```
data_Pm3Sm2Mg2
_cell_length_a 3.814
_cell_length_b 31.223
_cell_length_c 3.722
_cell_angle_alpha 90.00
_cell_angle_beta 90.00
_cell_angle_gamma 90.00
_symmetry_space_group_name_H-M 'C m m m'
_symmetry_Int_Tables_number 65
_symmetry_space_group_name_Hall '-C 2 2'
loop_
_atom_site_label
_atom_site_type_symbol
_atom_site_fract_x
_atom_site_fract_y
_atom_site_fract_z
_atom_site_occupancy
Pm1 Pm 0.000 0.000 0.000 1
Pm2 Pm 0.000 0.419 0.500 1
Sm1 Sm 0.000 0.295 0.500 1
Mg1 Mg 0.000 0.143 0.000 1
```

The 10 most intense peaks (2θ = 5–70°), low angle first:
| 2θ/deg | I_rel |
| --- | --- |
| 23.9 | 27 |
| 24.9 | 30 |
| 28.6 | 26 |
| 29.5 | 38 |
| 30.8 | 100 |
| 33.3 | 46 |
| 33.8 | 77 |
| 39.4 | 22 |
| 56.1 | 18 |
| 59.0 | 32 |

(12)
Diffraction record for V4FeB. The powder X-ray diffraction pattern is computed, not measured: it uses a DFT-relaxed cell (PBE, Alexandria) and Cu Kα.
Neutral-atom scattering factors, no anomalous dispersion.

Crystal structure
```
data_V4FeB
_cell_length_a 5.615
_cell_length_b 5.615
_cell_length_c 9.030
_cell_angle_alpha 90.00
_cell_angle_beta 90.00
_cell_angle_gamma 90.00
_symmetry_space_group_name_H-M 'I 4/m c m'
_symmetry_Int_Tables_number 140
_symmetry_space_group_name_Hall '-I 4 2c'
loop_
_atom_site_label
_atom_site_type_symbol
_atom_site_fract_x
_atom_site_fract_y
_atom_site_fract_z
_atom_site_occupancy
V1 V 0.169 0.331 0.140 1
Fe1 Fe 0.000 0.000 0.000 1
B1 B 0.000 0.000 0.250 1
```

The 10 most intense peaks (2θ = 5–70°), low angle first:
| 2θ/deg | I_rel |
| --- | --- |
| 30.0 | 36 |
| 37.2 | 100 |
| 37.7 | 27 |
| 39.9 | 16 |
| 45.7 | 22 |
| 46.3 | 35 |
| 47.1 | 90 |
| 51.5 | 54 |
| 52.0 | 52 |
| 69.8 | 14 |

(13)
Diffraction record for CdHgPbO3. The powder X-ray diffraction pattern is computed, not measured: it uses a DFT-relaxed cell (PBE, Alexandria) and Cu Kα.
Neutral-atom scattering factors, no anomalous dispersion.

Crystal structure
```
data_CdHgPbO3
_cell_length_a 6.855
_cell_length_b 3.600
_cell_length_c 9.385
_cell_angle_alpha 90.00
_cell_angle_beta 107.26
_cell_angle_gamma 90.00
_symmetry_space_group_name_H-M 'P 1 21/m 1'
_symmetry_Int_Tables_number 11
_symmetry_space_group_name_Hall '-P 2yb'
loop_
_atom_site_label
_atom_site_type_symbol
_atom_site_fract_x
_atom_site_fract_y
_atom_site_fract_z
_atom_site_occupancy
Cd1 Cd 0.210 0.250 0.474 1
Hg1 Hg 0.058 0.250 0.858 1
Pb1 Pb 0.492 0.750 0.803 1
O1 O 0.023 0.750 0.375 1
O2 O 0.175 0.250 0.092 1
O3 O 0.499 0.750 0.348 1
```

The 10 most intense peaks (2θ = 5–70°), low angle first:
| 2θ/deg | I_rel |
| --- | --- |
| 27.2 | 49 |
| 28.3 | 22 |
| 28.6 | 100 |
| 29.9 | 49 |
| 31.4 | 69 |
| 32.3 | 76 |
| 37.1 | 28 |
| 47.2 | 35 |
| 53.7 | 24 |
| 55.5 | 32 |